# 1
# NiPbIO6
Computed powder X-ray diffraction pattern, Cu Ka. Input: a GGA+U-relaxed structure.
Intensities are scaled so that the largest is 1000.

a = 5.262 Å, b = 5.262 Å, c = 5.031 Å
α = 90.00°, β = 90.00°, γ = 120.00°
Atoms (fractional coordinates):
Ni (0.000, 0.000, 0.000)
Pb (0.667, 0.333, 0.500)
I (0.333, 0.667, 0.000)
O (0.046, 0.352, 0.214)
O (0.046, 0.694, 0.786)
O (0.306, 0.352, 0.786)
O (0.306, 0.954, 0.214)
O (0.648, 0.694, 0.214)
O (0.648, 0.954, 0.786)

Principal peaks in the range 2θ from 5° to 70°, sorted by position:
- 19.48 deg, rel. 130
- 26.39 deg, rel. 1000
- 34.08 deg, rel. 332
- 35.70 deg, rel. 75
- 39.55 deg, rel. 38
- 40.98 deg, rel. 56
- 43.61 deg, rel. 248
- 50.18 deg, rel. 344
- 56.47 deg, rel. 243
- 58.66 deg, rel. 103
- 60.99 deg, rel. 108
- 69.61 deg, rel. 71

***

# 2
# PmNi2IO8
Computed powder X-ray diffraction pattern, Cu Ka. Input: a GGA+U-relaxed structure.
Intensities are scaled so that the largest is 1000.

a = 4.576 Å, b = 6.958 Å, c = 4.591 Å
α = 90.00°, β = 91.01°, γ = 90.00°
Atoms (fractional coordinates):
Pm (0.000, 0.000, 0.000)
Ni (0.500, 0.290, 0.500)
Ni (0.500, 0.710, 0.500)
I (0.000, 0.500, 0.000)
O (0.206, 0.288, 0.825)
O (0.206, 0.712, 0.825)
O (0.269, 0.500, 0.311)
O (0.345, 0.000, 0.435)
O (0.655, 0.000, 0.565)
O (0.731, 0.500, 0.689)
O (0.794, 0.288, 0.175)
O (0.794, 0.712, 0.175)

Principal peaks in the range 2θ from 5° to 70°, sorted by position:
- 19.37 deg, rel. 279
- 25.60 deg, rel. 113
- 27.28 deg, rel. 613
- 27.77 deg, rel. 681
- 32.31 deg, rel. 1000
- 37.76 deg, rel. 200
- 39.25 deg, rel. 177
- 39.38 deg, rel. 122
- 51.48 deg, rel. 406
- 52.06 deg, rel. 374
- 66.79 deg, rel. 106
- 66.99 deg, rel. 109

***

# 3
# SrNi2IO6
Computed powder X-ray diffraction pattern, Cu Ka. Input: a GGA+U-relaxed structure.
Intensities are scaled so that the largest is 1000.

a = 5.787 Å, b = 5.787 Å, c = 5.787 Å
α = 56.69°, β = 56.69°, γ = 56.69°
Atoms (fractional coordinates):
Sr (0.000, 0.000, 0.000)
Ni (0.266, 0.266, 0.266)
Ni (0.783, 0.783, 0.783)
I (0.470, 0.470, 0.470)
O (0.082, 0.609, 0.451)
O (0.179, 0.535, 0.881)
O (0.451, 0.082, 0.609)
O (0.535, 0.881, 0.179)
O (0.609, 0.451, 0.082)
O (0.881, 0.179, 0.535)

Principal peaks in the range 2θ from 5° to 70°, sorted by position:
- 18.33 deg, rel. 112
- 22.34 deg, rel. 441
- 30.98 deg, rel. 931
- 32.59 deg, rel. 1000
- 36.24 deg, rel. 127
- 37.64 deg, rel. 133
- 45.58 deg, rel. 391
- 50.24 deg, rel. 419
- 57.15 deg, rel. 388
- 58.15 deg, rel. 310
- 67.30 deg, rel. 144
- 68.27 deg, rel. 136

***

# 4
# ZnNiI2O
Computed powder X-ray diffraction pattern, Cu Ka. Input: a GGA+U-relaxed structure.
Intensities are scaled so that the largest is 1000.

a = 5.819 Å, b = 5.819 Å, c = 3.540 Å
α = 90.00°, β = 90.00°, γ = 90.00°
Atoms (fractional coordinates):
Zn (0.000, 0.000, 0.000)
Ni (0.500, 0.500, 0.500)
I (0.000, 0.500, 0.500)
I (0.500, 0.000, 0.500)
O (0.500, 0.500, 0.000)

Principal peaks in the range 2θ from 5° to 70°, sorted by position:
- 21.60 deg, rel. 135
- 25.16 deg, rel. 263
- 29.54 deg, rel. 195
- 30.73 deg, rel. 1000
- 33.39 deg, rel. 729
- 40.12 deg, rel. 303
- 43.14 deg, rel. 139
- 44.01 deg, rel. 362
- 51.37 deg, rel. 148
- 56.35 deg, rel. 314
- 61.30 deg, rel. 259
- 64.00 deg, rel. 113